Computed X-ray diffraction stick pattern
Compound: DyEr4Lu2Ni2Te2
Radiation: Cu Ka
Structure: a cell relaxed with PBE

Cell and atoms:
```
DyEr4Lu2Ni2Te2
1.0
-1.918 7.716 4.747
1.918 -7.716 4.747
1.918 7.716 -4.747
Dy Er Lu Ni Te
1 4 2 2 2
Cartesian
0.000 0.000 0.000 Dy
1.918 2.860 -1.177 Er
1.918 -2.261 2.177 Er
1.918 2.261 2.177 Er
0.000 4.856 3.570 Er
1.918 5.639 0.778 Lu
0.000 2.077 5.525 Lu
0.000 3.652 0.654 Ni
0.000 11.781 0.654 Ni
0.000 0.000 3.222 Te
0.000 7.716 2.203 Te
```

Largest 10 diffraction maxima, most intense first, 10 to 80 degrees two-theta:
2.615 Å, I = 100; 2.695 Å, I = 80; 2.931 Å, I = 73; 2.581 Å, I = 54; 1.563 Å, I = 31; 1.918 Å, I = 29; 1.772 Å, I = 26; 2.572 Å, I = 24; 2.441 Å, I = 22; 3.076 Å, I = 20